Computed XRD peak list
Compound: Sr2HoCu3O6
Radiation: Cu Kα
Structure: a DFT-relaxed cell (GGA-PBE, Alexandria)
Kinematic intensities with the Lorentz-polarization factor, no thermal factor.

Cell and atoms:
```
data_Sr2HoCu3O6
_cell_length_a 3.807
_cell_length_b 3.807
_cell_length_c 11.659
_cell_angle_alpha 90.00
_cell_angle_beta 90.00
_cell_angle_gamma 90.00
_symmetry_space_group_name_H-M 'P 1'
_symmetry_Int_Tables_number 1
_symmetry_space_group_name_Hall 'P 1'
loop_
_atom_site_label
_atom_site_type_symbol
_atom_site_fract_x
_atom_site_fract_y
_atom_site_fract_z
Sr1 Sr 0.000 0.000 0.198
Sr2 Sr 0.000 0.000 0.802
Ho1 Ho 0.000 0.000 0.500
Cu1 Cu 0.500 0.500 0.000
Cu2 Cu 0.500 0.500 0.357
Cu3 Cu 0.500 0.500 0.643
O1 O 0.000 0.500 0.376
O2 O 0.000 0.500 0.624
O3 O 0.500 0.000 0.376
O4 O 0.500 0.000 0.624
O5 O 0.500 0.500 0.156
O6 O 0.500 0.500 0.844
```

The 10 most intense peaks (10° ≤ 2θ ≤ 80°), most intense first:
2θ (°)	d [Å]	Rel. int.
32.93	2.720	100
33.28	2.692	58
59.26	1.559	37
47.78	1.903	32
38.91	2.314	23
58.59	1.576	14
24.60	3.619	11
63.26	1.470	11
69.89	1.346	9
69.07	1.360	9